# Mg6MnVO8
Theoretical powder X-ray diffraction pattern, copper Kα. Input: a cell relaxed with PBE+U.
Intensities are scaled so that the largest is 100.

The 10 most intense peaks (10° ≤ 2θ ≤ 90°), by angle:
- 2θ 10.3, intensity 27
- 2θ 20.6, intensity 7
- 2θ 31.0, intensity 9
- 2θ 36.0, intensity 34
- 2θ 41.7, intensity 100
- 2θ 42.0, intensity 49
- 2θ 60.5, intensity 28
- 2θ 60.7, intensity 56
- 2θ 72.5, intensity 12
- 2θ 76.4, intensity 25

Cell and atoms:
Lattice parameters (Å, degrees): 4.328 4.328 8.611 90.00 90.00 90.00
Space group P4/mmm (No. 123)
Asymmetric unit:
Mg1 0.000 0.000 0.000
Mg2 0.000 0.500 0.246
Mg3 0.500 0.500 0.000
Mn1 0.000 0.000 0.500
V1 0.500 0.500 0.500
O1 0.000 0.000 0.242
O2 0.000 0.500 0.000
O3 0.000 0.500 0.500
O4 0.500 0.500 0.245


# Mg14MnZnO16
Theoretical powder X-ray diffraction pattern, copper Kα. Input: a cell relaxed with PBE+U.
Intensities are scaled so that the largest is 100.

The 10 most intense peaks (10° ≤ 2θ ≤ 90°), by angle:
- 2θ 14.6, intensity 9
- 2θ 20.8, intensity 7
- 2θ 25.5, intensity 5
- 2θ 29.5, intensity 6
- 2θ 36.4, intensity 19
- 2θ 39.4, intensity 4
- 2θ 42.2, intensity 100
- 2θ 61.3, intensity 57
- 2θ 73.4, intensity 11
- 2θ 77.2, intensity 17

Cell and atoms:
Lattice parameters (Å, degrees): 8.560 8.560 4.281 90.00 90.00 90.00
Space group P4/mmm (No. 123)
Asymmetric unit:
Mg1 0.000 0.250 0.000
Mg2 0.000 0.500 0.500
Mg3 0.248 0.500 0.000
Mg4 0.249 0.249 0.500
Mn1 0.500 0.500 0.500
Zn1 0.000 0.000 0.500
O1 0.000 0.000 0.000
O2 0.000 0.252 0.500
O3 0.000 0.500 0.000
O4 0.243 0.500 0.500
O5 0.250 0.250 0.000
O6 0.500 0.500 0.000


# Mg14MnZnO16
Theoretical powder X-ray diffraction pattern, copper Kα. Input: a cell relaxed with PBE+U.
Intensities are scaled so that the largest is 100.

The 10 most intense peaks (10° ≤ 2θ ≤ 90°), by angle:
- 2θ 10.3, intensity 10
- 2θ 20.8, intensity 7
- 2θ 23.2, intensity 7
- 2θ 29.5, intensity 6
- 2θ 31.3, intensity 4
- 2θ 36.4, intensity 19
- 2θ 42.2, intensity 100
- 2θ 61.2, intensity 57
- 2θ 73.3, intensity 7
- 2θ 77.2, intensity 17

Cell and atoms:
Lattice parameters (Å, degrees): 4.281 8.553 8.568 90.00 90.00 90.00
Space group Pmmm (No. 47)
Asymmetric unit:
Mg1 0.000 0.000 0.000
Mg2 0.000 0.249 0.249
Mg3 0.000 0.500 0.000
Mg4 0.500 0.000 0.250
Mg5 0.500 0.248 0.500
Mg6 0.500 0.250 0.000
Mg7 0.500 0.500 0.248
Mn1 0.000 0.500 0.500
Zn1 0.000 0.000 0.500
O1 0.000 0.000 0.244
O2 0.000 0.246 0.500
O3 0.000 0.250 0.000
O4 0.000 0.500 0.243
O5 0.500 0.000 0.000
O6 0.500 0.000 0.500
O7 0.500 0.250 0.251
O8 0.500 0.500 0.000
O9 0.500 0.500 0.500


# Mg6MnZnO8
Theoretical powder X-ray diffraction pattern, copper Kα. Input: a cell relaxed with PBE+U.
Intensities are scaled so that the largest is 100.

The 10 most intense peaks (10° ≤ 2θ ≤ 90°), by angle:
- 2θ 10.3, intensity 31
- 2θ 20.6, intensity 8
- 2θ 29.3, intensity 7
- 2θ 31.2, intensity 14
- 2θ 36.1, intensity 28
- 2θ 42.0, intensity 100
- 2θ 43.3, intensity 8
- 2θ 60.9, intensity 57
- 2θ 72.9, intensity 14
- 2θ 76.7, intensity 17

Cell and atoms:
Lattice parameters (Å, degrees): 4.307 4.307 8.603 90.00 90.00 90.00
Space group P4/mmm (No. 123)
Asymmetric unit:
Mg1 0.000 0.000 0.000
Mg2 0.000 0.500 0.248
Mg3 0.500 0.500 0.000
Mn1 0.000 0.000 0.500
Zn1 0.500 0.500 0.500
O1 0.000 0.000 0.242
O2 0.000 0.500 0.000
O3 0.000 0.500 0.500
O4 0.500 0.500 0.247